This entry pairs a crystal structure of Ti2ZnNi3 with its calculated X-ray powder pattern. Radiation: Cu Kα, 1.54184 Å. Structure: the GGA-PBE geometry in Alexandria.
Kinematic intensities with the Lorentz-polarization factor, no thermal factor.

Top 9 peaks for 10 to 90 degrees two-theta, sorted by position:
| two_theta | I_rel |
| --- | --- |
| 25.99 | 1 |
| 30.11 | 1 |
| 36.00 | 1 |
| 43.10 | 100 |
| 51.02 | 1 |
| 62.59 | 15 |
| 79.00 | 21 |
| 79.05 | 7 |
| 89.34 | 1 |

Cell and atoms:
```
12
Lattice="4.196 0.000 0.000 -2.098 3.634 0.000 0.000 0.000 10.291" Properties=species:S:1:pos:R:3 pbc="T T T"
Ti 0.000 0.000 0.000
Ti 0.000 0.000 5.146
Ti 0.000 2.423 1.851
Ti 2.098 1.211 8.441
Zn 0.000 2.423 6.873
Zn 2.098 1.211 3.418
Ni 0.000 0.000 2.540
Ni 0.000 0.000 7.752
Ni 0.000 2.423 4.350
Ni 0.000 2.423 9.575
Ni 2.098 1.211 0.716
Ni 2.098 1.211 5.942
```